# 1
Ho5In2PdRu2: computed powder diffraction line list (a wavelength of 1.5418 Å), based on the GGA-PBE geometry in Alexandria.
Lines closer than 0.1° are merged.

Atomic structure:
Cell: 11.671 11.671 3.507 Å, 90.00 90.00 90.00°
Sites, in units of the cell vectors:
Ho 0.000 0.500 0.000
Ho 0.067 0.200 0.000
Ho 0.200 0.933 0.000
Ho 0.300 0.433 0.000
Ho 0.433 0.700 0.000
Ho 0.500 0.000 0.000
Ho 0.567 0.300 0.000
Ho 0.700 0.567 0.000
Ho 0.800 0.067 0.000
Ho 0.933 0.800 0.000
In 0.180 0.680 0.500
In 0.320 0.180 0.500
In 0.680 0.820 0.500
In 0.820 0.320 0.500
Pd 0.000 0.000 0.500
Pd 0.500 0.500 0.500
Ru 0.136 0.364 0.500
Ru 0.364 0.864 0.500
Ru 0.636 0.136 0.500
Ru 0.864 0.636 0.500

Largest 10 diffraction maxima, low angle first, 2θ from 10° to 90°:
17.0 deg, I = 14; 31.6 deg, I = 51; 32.6 deg, I = 22; 33.5 deg, I = 19; 34.4 deg, I = 20; 35.3 deg, I = 100; 37.8 deg, I = 41; 52.2 deg, I = 16; 62.2 deg, I = 13; 62.3 deg, I = 14



# 2
Li8Ga: computed powder diffraction line list (a wavelength of 1.5418 Å), based on the GGA-PBE geometry in Alexandria.
Lines closer than 0.1° are merged.

Atomic structure:
Cell: 6.417 6.417 6.417 Å, 97.09 97.09 138.88°
Sites, in units of the cell vectors:
Li 0.000 0.323 0.323
Li 0.000 0.677 0.677
Li 0.323 0.000 0.323
Li 0.342 0.342 0.684
Li 0.342 0.658 0.000
Li 0.658 0.342 0.000
Li 0.658 0.658 0.316
Li 0.677 0.000 0.677
Ga 0.000 0.000 0.000

Largest 10 diffraction maxima, low angle first, 2θ from 10° to 90°:
14.7 deg, I = 100; 20.9 deg, I = 43; 22.3 deg, I = 71; 29.7 deg, I = 16; 30.8 deg, I = 63; 33.3 deg, I = 26; 37.5 deg, I = 53; 43.3 deg, I = 26; 48.6 deg, I = 21; 58.0 deg, I = 15



# 3
CePt2: computed powder diffraction line list (a wavelength of 1.5418 Å), based on the GGA-PBE geometry in Alexandria.
Lines closer than 0.1° are merged.

Atomic structure:
Cell: 5.491 5.491 5.491 Å, 60.00 60.00 60.00°
Sites, in units of the cell vectors:
Ce 0.125 0.125 0.125
Ce 0.875 0.875 0.875
Pt 0.000 0.500 0.500
Pt 0.500 0.000 0.500
Pt 0.500 0.500 0.000
Pt 0.500 0.500 0.500

Largest 10 diffraction maxima, low angle first, 2θ from 10° to 90°:
19.8 deg, I = 18; 32.6 deg, I = 18; 38.4 deg, I = 100; 40.2 deg, I = 51; 46.8 deg, I = 10; 58.2 deg, I = 7; 62.1 deg, I = 33; 68.3 deg, I = 30; 81.2 deg, I = 12; 82.4 deg, I = 20



# 4
Mg6CdCO8: computed powder diffraction line list (a wavelength of 1.5418 Å), based on the GGA-PBE geometry in Alexandria.
Lines closer than 0.1° are merged.

Atomic structure:
Cell: 4.323 4.323 8.675 Å, 90.00 90.00 90.00°
Sites, in units of the cell vectors:
Mg 0.000 0.000 0.000
Mg 0.000 0.500 0.248
Mg 0.000 0.500 0.752
Mg 0.500 0.000 0.248
Mg 0.500 0.000 0.752
Mg 0.500 0.500 0.000
Cd 0.000 0.000 0.500
C 0.500 0.500 0.500
O 0.000 0.000 0.234
O 0.000 0.000 0.766
O 0.000 0.500 0.000
O 0.000 0.500 0.500
O 0.500 0.000 0.000
O 0.500 0.000 0.500
O 0.500 0.500 0.250
O 0.500 0.500 0.750

Largest 10 diffraction maxima, low angle first, 2θ from 10° to 90°:
10.2 deg, I = 43; 20.5 deg, I = 52; 23.0 deg, I = 58; 29.2 deg, I = 45; 35.9 deg, I = 41; 41.6 deg, I = 50; 41.8 deg, I = 100; 60.5 deg, I = 57; 60.6 deg, I = 29; 76.2 deg, I = 26



- What is the formula in the fourth record?
  Mg6CdCO8